[1]
This entry pairs a crystal structure of Li9Zn2Hg3 with its theoretical PXRD pattern. Radiation: Cu Kα (weighted mean of Kα1 and Kα2). Structure: the GGA-PBE geometry in Alexandria.
Lines closer than 0.1° are merged.

Top 10 peaks for 2θ from 15° to 90°, low angle first:
2θ (°), Rel. int.
17.50, 51
21.52, 100
26.93, 18
27.75, 13
33.10, 18
36.99, 57
39.87, 15
40.65, 14
48.71, 19
49.26, 14

Structural model:
Cell lengths 7.6372, 7.6372, 4.5217 Å; angles 107.09, 107.09, 83.14 degrees
Fractional positions:
Li  0.0000  0.0000  0.0000
Li  0.1027  0.6234  0.8645
Li  0.2481  0.4892  0.3699
Li  0.3766  0.8973  0.1355
Li  0.4892  0.2481  0.3699
Li  0.5108  0.7519  0.6301
Li  0.6234  0.1027  0.8645
Li  0.7519  0.5108  0.6301
Li  0.8973  0.3766  0.1355
Zn  0.1570  0.8430  0.5000
Zn  0.8430  0.1570  0.5000
Hg  0.2123  0.2123  0.7224
Hg  0.5000  0.5000  0.0000
Hg  0.7877  0.7877  0.2776

[2]
This entry pairs a crystal structure of Cu2PPdS4 with its theoretical PXRD pattern. Radiation: Cu Kα (weighted mean of Kα1 and Kα2). Structure: the GGA-PBE geometry in Alexandria.
Lines closer than 0.1° are merged.

Top 10 peaks for 2θ from 15° to 90°, low angle first:
2θ (°), Rel. int.
18.97, 6
24.24, 5
29.42, 100
34.55, 8
48.67, 39
49.66, 18
57.01, 14
58.78, 25
72.86, 5
78.94, 10

Structural model:
Cell lengths 6.5272, 6.5272, 6.5272 Å; angles 133.12, 133.12, 68.46 degrees
Fractional positions:
Cu  0.0000  0.0000  0.0000
Cu  0.7500  0.2500  0.5000
P  0.2500  0.7500  0.5000
Pd  0.5000  0.5000  0.0000
S  0.1248  0.0914  0.4853
S  0.3605  0.8752  0.9666
S  0.6061  0.6395  0.5147
S  0.9086  0.3939  0.0334

[3]
This entry pairs a crystal structure of TlGaPt with its theoretical PXRD pattern. Radiation: Cu Kα (weighted mean of Kα1 and Kα2). Structure: the GGA-PBE geometry in Alexandria.
Lines closer than 0.1° are merged.

Top 10 peaks for 2θ from 15° to 90°, low angle first:
2θ (°), Rel. int.
21.61, 28
26.52, 33
27.42, 76
31.64, 59
34.68, 100
36.28, 36
41.47, 62
41.79, 57
42.80, 27
46.66, 37

Structural model:
Cell lengths 7.0768, 6.9281, 8.2299 Å; angles 54.85, 53.18, 71.97 degrees
Fractional positions:
Tl  0.3079  0.6921  0.4849
Tl  0.6921  0.3079  0.5151
Tl  0.7349  0.7651  0.5579
Tl  0.7651  0.7349  0.9421
Ga  0.2082  0.9542  0.0375
Ga  0.2125  0.4498  0.0418
Ga  0.4498  0.2125  0.2958
Ga  0.9542  0.2082  0.8002
Pt  0.1353  0.5106  0.3574
Pt  0.2532  0.8926  0.7394
Pt  0.5106  0.1353  0.9968
Pt  0.8926  0.2532  0.1147

[4]
This entry pairs a crystal structure of Y7HgSe5 with its theoretical PXRD pattern. Radiation: Cu Kα (weighted mean of Kα1 and Kα2). Structure: the GGA-PBE geometry in Alexandria.
Lines closer than 0.1° are merged.

Top 10 peaks for 2θ from 15° to 90°, low angle first:
2θ (°), Rel. int.
28.89, 55
30.58, 100
31.69, 68
32.29, 22
34.58, 18
40.60, 38
42.97, 20
44.52, 84
53.99, 19
64.82, 18

Structural model:
Cell lengths 7.0223, 7.0223, 24.3618 Å; angles 90.00, 90.00, 146.34 degrees
Fractional positions:
Y  0.0250  0.9750  0.7500
Y  0.1384  0.8616  0.0361
Y  0.1384  0.8616  0.4639
Y  0.3158  0.6842  0.6773
Y  0.3158  0.6842  0.8227
Y  0.4074  0.5926  0.1127
Y  0.4074  0.5926  0.3873
Y  0.5926  0.4074  0.6127
Y  0.5926  0.4074  0.8873
Y  0.6842  0.3158  0.1773
Y  0.6842  0.3158  0.3227
Y  0.8616  0.1384  0.5361
Y  0.8616  0.1384  0.9639
Y  0.9750  0.0250  0.2500
Hg  0.3023  0.6977  0.2500
Hg  0.6977  0.3023  0.7500
Se  0.0484  0.9516  0.1411
Se  0.0484  0.9516  0.3589
Se  0.2251  0.7749  0.5715
Se  0.2251  0.7749  0.9285
Se  0.5000  0.5000  0.0000
Se  0.5000  0.5000  0.5000
Se  0.7749  0.2251  0.0715
Se  0.7749  0.2251  0.4285
Se  0.9516  0.0484  0.6411
Se  0.9516  0.0484  0.8589

[5]
This entry pairs a crystal structure of Sc2Be9Ru with its theoretical PXRD pattern. Radiation: Cu Kα (weighted mean of Kα1 and Kα2). Structure: the GGA-PBE geometry in Alexandria.
Lines closer than 0.1° are merged.

Top 10 peaks for 2θ from 15° to 90°, low angle first:
2θ (°), Rel. int.
23.26, 100
24.32, 30
24.46, 28
36.97, 63
40.22, 50
40.40, 39
46.98, 26
47.63, 58
55.80, 21
78.36, 21

Structural model:
Cell lengths 7.7241, 7.7241, 7.7241 Å; angles 33.75, 33.75, 33.75 degrees
Fractional positions:
Sc  0.1399  0.1399  0.1399
Sc  0.8601  0.8601  0.8601
Be  0.0775  0.5754  0.5754
Be  0.3336  0.3336  0.3336
Be  0.4246  0.4246  0.9225
Be  0.4246  0.9225  0.4246
Be  0.5000  0.5000  0.5000
Be  0.5754  0.0775  0.5754
Be  0.5754  0.5754  0.0775
Be  0.6664  0.6664  0.6664
Be  0.9225  0.4246  0.4246
Ru  0.0000  0.0000  0.0000

[6]
This entry pairs a crystal structure of Al2C3N6 with its theoretical PXRD pattern. Radiation: Cu Kα (weighted mean of Kα1 and Kα2). Structure: the GGA-PBE geometry in Alexandria.
Lines closer than 0.1° are merged.

Top 10 peaks for 2θ from 15° to 90°, low angle first:
2θ (°), Rel. int.
19.25, 8
19.74, 82
22.69, 38
34.06, 100
38.14, 66
50.62, 9
51.78, 31
58.18, 30
70.18, 12
71.72, 9

Structural model:
Cell lengths 9.7498, 9.7498, 9.7498 Å; angles 32.72, 32.72, 32.72 degrees
Fractional positions:
Al  0.1650  0.1650  0.1650
Al  0.3350  0.3350  0.3350
Al  0.6650  0.6650  0.6650
Al  0.8350  0.8350  0.8350
C  0.0621  0.7500  0.4379
C  0.2500  0.5621  0.9379
C  0.4379  0.0621  0.7500
C  0.5621  0.9379  0.2500
C  0.7500  0.4379  0.0621
C  0.9379  0.2500  0.5621
N  0.0408  0.6499  0.4294
N  0.0706  0.8501  0.4592
N  0.1499  0.5408  0.9294
N  0.3501  0.5706  0.9592
N  0.4294  0.0408  0.6499
N  0.4592  0.0706  0.8501
N  0.5408  0.9294  0.1499
N  0.5706  0.9592  0.3501
N  0.6499  0.4294  0.0408
N  0.8501  0.4592  0.0706
N  0.9294  0.1499  0.5408
N  0.9592  0.3501  0.5706